Starting from the GGA+U geometry in Alexandria, the powder XRD pattern of VGeWO6 was simulated for a wavelength of 1.5418 Å.
Neutral-atom scattering factors, no anomalous dispersion.

Crystal structure
Cell lengths 4.6252, 4.6252, 9.1822 Å; angles 90.00, 90.00, 90.00 degrees
Space group P4_2nm (No. 102)
Unique sites:
V (0.0000, 0.0000, 0.0000) x2
Ge (0.0000, 0.0000, 0.6634) x2
W (0.0000, 0.0000, 0.3312) x2
O (0.1874, 0.1874, 0.5027) x4
O (0.1953, 0.1953, 0.8228) x4
O (0.2046, 0.2046, 0.1639) x4

Top 10 peaks for 5° ≤ 2θ ≤ 70°, low angle first:
d (Å)	intensity	index
4.591	14.6	0 0 2
4.131	49.5	1 0 1
3.270	100.0	1 1 0
2.664	15.5	1 1 2
2.552	75.3	1 0 3
2.313	20.4	2 0 0
2.018	15.4	2 1 1
1.714	64.6	2 1 3
1.635	16.3	2 2 0
1.377	19.6	3 0 3